TbTlV2O8: calculated powder diffractogram (Cu Kα, 1.54184 Å), based on a PBE+U-relaxed structure.
Intensities are scaled so that the largest is 100.

Most intense lines, 2θ from 10° to 90°, by angle:
- 18.5°, I 52
- 24.8°, I 100
- 31.1°, I 20
- 32.9°, I 77
- 35.3°, I 23
- 40.1°, I 16
- 47.7°, I 15
- 49.1°, I 61
- 50.8°, I 16
- 57.3°, I 18
- 61.9°, I 17
- 85.3°, I 18

Structural model:
```
12
Lattice="-3.5949 3.5949 3.2197 3.5949 -3.5949 3.2197 3.5949 3.5949 -3.2197" Properties=species:S:1:pos:R:3 pbc="T T T"
Tb 0.0000 0.0000 0.0000
Tl 0.0000 3.5949 1.6099
V 3.5949 0.0000 1.6099
V 0.0000 0.0000 3.2197
O 2.2326 0.0000 0.5261
O 4.9572 0.0000 0.5261
O 3.5949 2.2657 -1.1314
O 3.5949 -1.3623 2.6936
O 0.0000 1.3292 2.0884
O 3.5949 1.3623 2.6936
O 2.2657 3.5949 1.1314
O 1.3292 0.0000 4.3511
```